No. 1
Be2WAu: computed XRD peak list (a wavelength of 1.5418 Å), based on a cell relaxed with PBE.
Lines closer than 0.1° are merged.

Structure:
abc: 2.753 4.139 8.960
angles: 90.00 90.00 90.00
Atoms (fractional coordinates):
Be 0.000 0.000 0.000
Be 0.000 0.500 0.285
Be 0.500 0.000 0.785
Be 0.500 0.500 0.500
W 0.000 0.500 0.770
W 0.500 0.000 0.270
Au 0.000 0.000 0.547
Au 0.500 0.500 0.047

Peak list (10 most intense, 10° ≤ 2θ ≤ 90°, sorted by position)
d/Å	I/Imax
3.758	95
2.632	56
2.422	57
2.240	30
2.070	27
2.041	100
1.627	27
1.520	18
1.252	24
1.189	18

***

No. 2
YBe4Au8: computed XRD peak list (a wavelength of 1.5418 Å), based on a cell relaxed with PBE.
Lines closer than 0.1° are merged.

Structure:
abc: 8.319 8.319 8.319
angles: 41.83 41.83 41.83
Atoms (fractional coordinates):
Y 0.000 0.000 0.000
Be 0.000 0.500 0.500
Be 0.500 0.000 0.500
Be 0.500 0.500 0.000
Be 0.500 0.500 0.500
Au 0.219 0.733 0.733
Au 0.267 0.267 0.781
Au 0.267 0.781 0.267
Au 0.270 0.270 0.270
Au 0.730 0.730 0.730
Au 0.733 0.219 0.733
Au 0.733 0.733 0.219
Au 0.781 0.267 0.267

Peak list (10 most intense, 10° ≤ 2θ ≤ 90°, sorted by position)
d/Å	I/Imax
3.790	46
3.407	22
2.765	19
2.747	30
2.508	100
2.343	91
1.924	20
1.918	18
1.668	17
1.485	29

***

No. 3
YBe4Au12: computed XRD peak list (a wavelength of 1.5418 Å), based on a cell relaxed with PBE.
Lines closer than 0.1° are merged.

Structure:
abc: 7.318 7.318 7.318
angles: 109.47 109.47 109.47
Atoms (fractional coordinates):
Y 0.000 0.000 0.000
Be 0.000 0.000 0.500
Be 0.000 0.500 0.000
Be 0.500 0.000 0.000
Be 0.500 0.500 0.500
Au 0.161 0.331 0.830
Au 0.170 0.501 0.331
Au 0.170 0.839 0.669
Au 0.331 0.170 0.501
Au 0.331 0.830 0.161
Au 0.499 0.669 0.830
Au 0.501 0.331 0.170
Au 0.669 0.170 0.839
Au 0.669 0.830 0.499
Au 0.830 0.161 0.331
Au 0.830 0.499 0.669
Au 0.839 0.669 0.170

Peak list (10 most intense, 10° ≤ 2θ ≤ 90°, sorted by position)
d/Å	I/Imax
2.987	10
2.672	100
2.439	9
2.258	47
1.802	10
1.657	15
1.449	22
1.408	16
1.371	12
1.246	19

***

No. 4
YBe3Au10: computed XRD peak list (a wavelength of 1.5418 Å), based on a cell relaxed with PBE.
Lines closer than 0.1° are merged.

Structure:
abc: 8.782 8.782 8.782
angles: 60.00 60.00 60.00
Atoms (fractional coordinates):
Y 0.250 0.250 0.250
Y 0.750 0.750 0.750
Be 0.236 0.236 0.764
Be 0.236 0.764 0.236
Be 0.236 0.764 0.764
Be 0.764 0.236 0.236
Be 0.764 0.236 0.764
Be 0.764 0.764 0.236
Au 0.114 0.114 0.114
Au 0.114 0.114 0.658
Au 0.114 0.658 0.114
Au 0.161 0.500 0.500
Au 0.161 0.500 0.839
Au 0.161 0.839 0.500
Au 0.342 0.886 0.886
Au 0.500 0.161 0.500
Au 0.500 0.161 0.839
Au 0.500 0.500 0.161
Au 0.500 0.500 0.839
Au 0.500 0.839 0.161
Au 0.500 0.839 0.500
Au 0.658 0.114 0.114
Au 0.839 0.161 0.500
Au 0.839 0.500 0.161
Au 0.839 0.500 0.500
Au 0.886 0.342 0.886
Au 0.886 0.886 0.342
Au 0.886 0.886 0.886

Peak list (10 most intense, 10° ≤ 2θ ≤ 90°, sorted by position)
d/Å	I/Imax
3.105	17
2.777	32
2.535	14
2.390	100
2.099	46
2.070	14
1.464	24
1.434	13
1.363	14
1.268	13

***

No. 5
BeZn5Au6: computed XRD peak list (a wavelength of 1.5418 Å), based on a cell relaxed with PBE.
Lines closer than 0.1° are merged.

Structure:
abc: 7.589 7.589 4.350
angles: 105.03 105.03 52.08
Atoms (fractional coordinates):
Be 0.000 0.000 0.000
Zn 0.185 0.185 0.671
Zn 0.337 0.337 0.346
Zn 0.500 0.500 0.000
Zn 0.663 0.663 0.654
Zn 0.815 0.815 0.329
Au 0.078 0.613 0.858
Au 0.220 0.780 0.500
Au 0.387 0.922 0.142
Au 0.613 0.078 0.858
Au 0.780 0.220 0.500
Au 0.922 0.387 0.142

Peak list (10 most intense, 10° ≤ 2θ ≤ 90°, sorted by position)
d/Å	I/Imax
3.331	38
3.126	34
3.028	34
2.280	100
2.241	98
2.175	90
1.821	28
1.322	29
1.282	26
1.261	27

***

No. 6
Be2ZnAu4: computed XRD peak list (a wavelength of 1.5418 Å), based on a cell relaxed with PBE.
Lines closer than 0.1° are merged.

Structure:
abc: 6.229 6.229 5.645
angles: 90.00 90.00 90.00
Atoms (fractional coordinates):
Be 0.000 0.500 0.000
Be 0.000 0.500 0.500
Be 0.500 0.000 0.000
Be 0.500 0.000 0.500
Zn 0.000 0.000 0.498
Zn 0.500 0.500 0.998
Au 0.249 0.249 0.750
Au 0.249 0.751 0.750
Au 0.251 0.251 0.250
Au 0.251 0.749 0.250
Au 0.749 0.251 0.250
Au 0.749 0.749 0.250
Au 0.751 0.249 0.750
Au 0.751 0.751 0.750

Peak list (10 most intense, 10° ≤ 2θ ≤ 90°, sorted by position)
d/Å	I/Imax
3.114	97
2.822	38
2.202	58
2.091	100
1.736	37
1.557	20
1.393	18
1.363	17
1.249	39
1.188	17

***

No. 7
BeZn6Au12: computed XRD peak list (a wavelength of 1.5418 Å), based on a cell relaxed with PBE.
Lines closer than 0.1° are merged.

Structure:
abc: 6.855 6.855 6.855
angles: 90.56 90.56 90.56
Atoms (fractional coordinates):
Be 0.000 0.000 0.000
Zn 0.109 0.733 0.295
Zn 0.267 0.705 0.891
Zn 0.295 0.109 0.733
Zn 0.705 0.891 0.267
Zn 0.733 0.295 0.109
Zn 0.891 0.267 0.705
Au 0.005 0.139 0.344
Au 0.139 0.344 0.005
Au 0.201 0.450 0.557
Au 0.344 0.005 0.139
Au 0.443 0.799 0.550
Au 0.450 0.557 0.201
Au 0.550 0.443 0.799
Au 0.557 0.201 0.450
Au 0.656 0.995 0.861
Au 0.799 0.550 0.443
Au 0.861 0.656 0.995
Au 0.995 0.861 0.656

Peak list (10 most intense, 10° ≤ 2θ ≤ 90°, sorted by position)
d/Å	I/Imax
3.078	52
2.812	20
2.776	44
2.436	27
2.295	100
2.285	29
2.265	31
2.174	37
2.161	72
2.069	40

***

No. 8
Zr4BeAu: computed XRD peak list (a wavelength of 1.5418 Å), based on a cell relaxed with PBE.
Lines closer than 0.1° are merged.

Structure:
abc: 6.657 6.657 5.411
angles: 90.00 90.00 90.00
Atoms (fractional coordinates):
Zr 0.145 0.328 0.000
Zr 0.145 0.672 0.500
Zr 0.328 0.145 0.500
Zr 0.328 0.855 0.000
Zr 0.672 0.145 0.000
Zr 0.672 0.855 0.500
Zr 0.855 0.328 0.500
Zr 0.855 0.672 0.000
Be 0.000 0.000 0.250
Be 0.000 0.000 0.750
Au 0.500 0.500 0.250
Au 0.500 0.500 0.750

Peak list (10 most intense, 10° ≤ 2θ ≤ 90°, sorted by position)
d/Å	I/Imax
6.657	75
2.977	49
2.608	100
2.506	27
2.346	45
2.105	54
2.099	42
1.543	19
1.418	18
1.357	24

***

No. 9
ZrBeAu3: computed XRD peak list (a wavelength of 1.5418 Å), based on a cell relaxed with PBE.
Lines closer than 0.1° are merged.

Structure:
abc: 4.468 4.468 4.468
angles: 90.00 90.00 90.00
Atoms (fractional coordinates):
Zr 0.000 0.000 0.000
Be 0.500 0.500 0.500
Au 0.000 0.500 0.500
Au 0.500 0.000 0.500
Au 0.500 0.500 0.000

Peak list (10 most intense, 10° ≤ 2θ ≤ 90°, sorted by position)
d/Å	I/Imax
4.468	8
3.159	5
2.579	100
2.234	52
1.998	4
1.824	2
1.580	35
1.347	40
1.290	12
1.117	6

***

No. 10
Bi3Au4: computed XRD peak list (a wavelength of 1.5418 Å), based on a cell relaxed with PBE.
Lines closer than 0.1° are merged.

Structure:
abc: 4.288 14.345 5.859
angles: 90.00 110.63 90.00
Atoms (fractional coordinates):
Bi 0.023 0.250 0.050
Bi 0.293 0.100 0.605
Bi 0.293 0.400 0.605
Bi 0.707 0.600 0.395
Bi 0.707 0.900 0.395
Bi 0.977 0.750 0.950
Au 0.000 0.000 0.000
Au 0.000 0.500 0.000
Au 0.244 0.750 0.470
Au 0.412 0.604 0.818
Au 0.412 0.896 0.818
Au 0.588 0.104 0.182
Au 0.588 0.396 0.182
Au 0.756 0.250 0.530

Peak list (10 most intense, 10° ≤ 2θ ≤ 90°, sorted by position)
d/Å	I/Imax
3.074	24
2.802	38
2.762	39
2.693	50
2.674	81
2.662	92
2.417	77
2.391	100
2.178	35
2.144	69

***

No. 11
BiAu4: computed XRD peak list (a wavelength of 1.5418 Å), based on a cell relaxed with PBE.
Lines closer than 0.1° are merged.

Structure:
abc: 8.311 8.311 8.311
angles: 109.47 109.47 109.47
Atoms (fractional coordinates):
Bi 0.000 0.000 0.590
Bi 0.000 0.590 0.000
Bi 0.410 0.410 0.410
Bi 0.590 0.000 0.000
Au 0.000 0.000 0.226
Au 0.000 0.226 0.000
Au 0.000 0.350 0.350
Au 0.000 0.650 0.650
Au 0.226 0.000 0.000
Au 0.250 0.500 0.750
Au 0.250 0.750 0.500
Au 0.350 0.000 0.350
Au 0.350 0.350 0.000
Au 0.500 0.250 0.750
Au 0.500 0.750 0.250
Au 0.650 0.000 0.650
Au 0.650 0.650 0.000
Au 0.750 0.250 0.500
Au 0.750 0.500 0.250
Au 0.774 0.774 0.774

Peak list (10 most intense, 10° ≤ 2θ ≤ 90°, sorted by position)
d/Å	I/Imax
2.770	64
2.565	53
2.262	100
1.959	11
1.696	16
1.557	32
1.447	12
1.357	17
1.306	16
1.181	20

***

No. 12
BiAu: computed XRD peak list (a wavelength of 1.5418 Å), based on a cell relaxed with PBE.
Lines closer than 0.1° are merged.

Structure:
abc: 6.777 7.044 8.599
angles: 90.00 90.00 90.00
Atoms (fractional coordinates):
Bi 0.094 0.235 0.009
Bi 0.177 0.764 0.114
Bi 0.323 0.236 0.614
Bi 0.406 0.765 0.509
Bi 0.594 0.265 0.991
Bi 0.677 0.736 0.886
Bi 0.823 0.264 0.386
Bi 0.906 0.735 0.491
Au 0.103 0.931 0.769
Au 0.216 0.431 0.321
Au 0.284 0.569 0.821
Au 0.397 0.069 0.269
Au 0.603 0.569 0.231
Au 0.716 0.069 0.679
Au 0.784 0.931 0.179
Au 0.897 0.431 0.731

Peak list (10 most intense, 10° ≤ 2θ ≤ 90°, sorted by position)
d/Å	I/Imax
3.153	59
2.878	96
2.725	84
2.655	82
2.528	90
2.490	50
2.349	79
2.149	100
1.924	35
1.436	35